No. 1
This entry pairs a crystal structure of BRu with its simulated X-ray powder pattern. Radiation: Cu Kα (λ = 1.5418 Å). Structure: a crystal structure in Alexandria, relaxed with PBE.

a b c (Å): 2.934 4.966 5.742
angles (deg): 90.00 90.00 90.00
Fractional positions:
B 0.000 0.183 0.000
B 0.000 0.817 0.000
B 0.500 0.317 0.500
B 0.500 0.683 0.500
Ru 0.000 0.500 0.252
Ru 0.000 0.500 0.748
Ru 0.500 0.000 0.248
Ru 0.500 0.000 0.752

The 10 most intense peaks (10° ≤ 2θ ≤ 90°), by angle:
31.15°, intensity 64; 35.54°, intensity 100; 36.18°, intensity 46; 47.97°, intensity 95; 48.47°, intensity 47; 64.65°, intensity 20; 73.51°, intensity 21; 76.30°, intensity 21; 76.72°, intensity 15; 83.64°, intensity 19

No. 2
This entry pairs a crystal structure of PmTe2H with its simulated X-ray powder pattern. Radiation: Cu Kα (λ = 1.5418 Å). Structure: a crystal structure in Alexandria, relaxed with PBE.

a b c (Å): 4.659 7.201 7.951
angles (deg): 87.02 89.98 89.96
Fractional positions:
Pm 0.000 0.000 0.000
Pm 0.500 0.000 0.500
Te 0.000 0.252 0.325
Te 0.000 0.783 0.673
Te 0.499 0.252 0.825
Te 0.500 0.783 0.173
H 0.004 0.485 0.294
H 0.493 0.485 0.794

The 10 most intense peaks (10° ≤ 2θ ≤ 90°), by angle:
12.31°, intensity 61; 25.06°, intensity 54; 25.68°, intensity 100; 32.72°, intensity 22; 32.99°, intensity 19; 33.89°, intensity 34; 38.66°, intensity 21; 39.14°, intensity 40; 43.45°, intensity 29; 46.62°, intensity 18

No. 3
This entry pairs a crystal structure of CrRuN with its simulated X-ray powder pattern. Radiation: Cu Kα (λ = 1.5418 Å). Structure: a crystal structure in Alexandria, relaxed with PBE.

a b c (Å): 2.679 5.024 4.685
angles (deg): 90.00 90.00 90.00
Fractional positions:
Cr 0.000 0.241 0.000
Cr 0.000 0.759 0.000
Ru 0.000 0.500 0.512
Ru 0.500 0.000 0.591
N 0.500 0.000 0.160
N 0.500 0.500 0.155

The 10 most intense peaks (10° ≤ 2θ ≤ 90°), by angle:
18.94°, intensity 24; 38.07°, intensity 60; 38.43°, intensity 56; 40.76°, intensity 100; 42.85°, intensity 91; 51.85°, intensity 24; 53.72°, intensity 19; 55.21°, intensity 31; 69.13°, intensity 17; 84.56°, intensity 23

No. 4
This entry pairs a crystal structure of AcLa2Ag3 with its simulated X-ray powder pattern. Radiation: Cu Kα (λ = 1.5418 Å). Structure: a crystal structure in Alexandria, relaxed with PBE.

a b c (Å): 3.864 3.864 11.648
angles (deg): 90.00 90.00 90.00
Fractional positions:
Ac 0.000 0.000 0.000
La 0.000 0.000 0.337
La 0.000 0.000 0.663
Ag 0.500 0.500 0.178
Ag 0.500 0.500 0.500
Ag 0.500 0.500 0.822

The 10 most intense peaks (10° ≤ 2θ ≤ 90°), by angle:
32.72°, intensity 100; 46.79°, intensity 6; 47.03°, intensity 12; 58.30°, intensity 12; 58.46°, intensity 25; 68.52°, intensity 7; 68.71°, intensity 4; 77.83°, intensity 5; 78.21°, intensity 11; 87.26°, intensity 4

No. 5
This entry pairs a crystal structure of Rb2PH6S3O3 with its simulated X-ray powder pattern. Radiation: Cu Kα (λ = 1.5418 Å). Structure: a crystal structure in Alexandria, relaxed with PBE.

a b c (Å): 9.180 13.047 9.387
angles (deg): 90.00 114.61 90.00
Fractional positions:
Rb 0.117 0.193 0.194
Rb 0.117 0.307 0.694
Rb 0.346 0.637 0.892
Rb 0.346 0.863 0.392
Rb 0.654 0.137 0.608
Rb 0.654 0.363 0.108
Rb 0.883 0.693 0.306
Rb 0.883 0.807 0.806
P 0.112 0.503 0.116
P 0.112 0.997 0.616
P 0.888 0.003 0.384
P 0.888 0.497 0.884
H 0.220 0.547 0.473
H 0.220 0.953 0.973
H 0.375 0.618 0.552
H 0.375 0.882 0.052
H 0.385 0.151 0.831
H 0.385 0.349 0.331
H 0.394 0.035 0.156
H 0.394 0.465 0.656
H 0.424 0.155 0.014
H 0.424 0.345 0.514
H 0.455 0.608 0.256
H 0.455 0.892 0.756
H 0.545 0.108 0.244
H 0.545 0.392 0.744
H 0.576 0.655 0.486
H 0.576 0.845 0.986
H 0.606 0.535 0.344
H 0.606 0.965 0.844
H 0.615 0.651 0.669
H 0.615 0.849 0.169
H 0.625 0.118 0.948
H 0.625 0.382 0.448
H 0.780 0.047 0.027
H 0.780 0.453 0.527
S 0.045 0.051 0.783
S 0.045 0.449 0.283
S 0.180 0.653 0.149
S 0.180 0.847 0.649
S 0.274 0.090 0.583
S 0.274 0.410 0.083
S 0.726 0.590 0.917
S 0.726 0.910 0.417
S 0.820 0.153 0.351
S 0.820 0.347 0.851
S 0.955 0.551 0.717
S 0.955 0.949 0.217
O 0.296 0.577 0.574
O 0.296 0.923 0.074
O 0.427 0.108 0.189
O 0.427 0.392 0.689
O 0.452 0.186 0.931
O 0.452 0.314 0.431
O 0.548 0.686 0.569
O 0.548 0.814 0.069
O 0.573 0.608 0.311
O 0.573 0.892 0.811
O 0.704 0.077 0.926
O 0.704 0.423 0.426

The 10 most intense peaks (10° ≤ 2θ ≤ 90°), by angle:
12.39°, intensity 56; 21.92°, intensity 35; 22.37°, intensity 100; 23.41°, intensity 60; 27.14°, intensity 36; 28.29°, intensity 52; 29.35°, intensity 54; 31.81°, intensity 56; 32.45°, intensity 77; 32.77°, intensity 79

No. 6
This entry pairs a crystal structure of ThU2C4 with its simulated X-ray powder pattern. Radiation: Cu Kα (λ = 1.5418 Å). Structure: a crystal structure in Alexandria, relaxed with PBE.

a b c (Å): 6.797 6.797 6.797
angles (deg): 113.90 113.90 100.94
Fractional positions:
Th 0.375 0.625 0.750
Th 0.625 0.375 0.250
U 0.000 0.000 0.000
U 0.000 0.000 0.500
U 0.000 0.500 0.000
U 0.500 0.000 0.500
C 0.180 0.741 0.439
C 0.198 0.259 0.939
C 0.259 0.198 0.439
C 0.259 0.820 0.061
C 0.741 0.180 0.939
C 0.741 0.802 0.561
C 0.802 0.741 0.061
C 0.820 0.259 0.561

The 10 most intense peaks (10° ≤ 2θ ≤ 90°), by angle:
24.01°, intensity 15; 26.72°, intensity 21; 28.84°, intensity 100; 31.79°, intensity 48; 33.33°, intensity 39; 45.33°, intensity 34; 49.16°, intensity 20; 55.04°, intensity 30; 59.74°, intensity 19; 60.70°, intensity 14